Diffraction record for RbAc3. The powder diffraction line list is theoretical, not measured: it uses a DFT-relaxed cell (GGA-PBE, the Materials Project) and Cu Ka.
Peak positions follow from Bragg's law for the DFT cell and can differ from measured ones.

Structural model:
a = 5.812 Å, b = 5.812 Å, c = 5.812 Å
α = 90.00°, β = 90.00°, γ = 90.00°
Space group Pm-3m (No. 221)
Asymmetric unit:
Rb1 0.000 0.000 0.000 [1 per cell]
Ac1 0.000 0.500 0.500 [3 per cell]

Main lines, sorted by position (2θ from 15° to 90°):
2θ/deg, intensity, index
15.24, 8, 1 0 0
26.56, 100, 1 1 1
30.77, 52, 2 0 0
44.07, 39, 2 2 0
52.20, 48, 3 1 1
54.71, 14, 2 2 2
70.65, 20, 3 3 1
72.77, 18, 4 2 0
81.06, 14, 4 2 2
87.14, 16, 5 1 1



Diffraction record for CsCeMg14O16. The powder diffraction line list is theoretical, not measured: it uses a DFT-relaxed cell (GGA-PBE, the Materials Project) and Cu Ka.
Peak positions follow from Bragg's law for the DFT cell and can differ from measured ones.

Structural model:
a = 4.638 Å, b = 8.911 Å, c = 9.029 Å
α = 90.00°, β = 90.00°, γ = 90.00°
Space group Pmmm (No. 47)
Asymmetric unit:
Cs1 0.000 0.000 0.000 [1 per cell]
Ce1 0.000 0.000 0.500 [1 per cell]
Mg1 0.000 0.269 0.243 [4 per cell]
Mg2 0.000 0.500 0.000 [1 per cell]
Mg3 0.000 0.500 0.500 [1 per cell]
Mg4 0.500 0.000 0.238 [2 per cell]
Mg5 0.500 0.263 0.000 [2 per cell]
Mg6 0.500 0.268 0.500 [2 per cell]
Mg7 0.500 0.500 0.247 [2 per cell]
O1 0.000 0.000 0.271 [2 per cell]
O2 0.000 0.269 0.500 [2 per cell]
O3 0.000 0.288 0.000 [2 per cell]
O4 0.000 0.500 0.258 [2 per cell]
O5 0.500 0.000 0.000 [1 per cell]
O6 0.500 0.000 0.500 [1 per cell]
O7 0.500 0.251 0.250 [4 per cell]
O8 0.500 0.500 0.000 [1 per cell]
O9 0.500 0.500 0.500 [1 per cell]

Main lines, sorted by position (2θ from 15° to 90°):
2θ/deg, intensity, index
22.07, 48, 0 1 2
29.37, 55, 1 1 2
34.26, 94, 1 2 2
38.83, 100, 2 0 0
39.94, 90, 0 0 4
40.49, 81, 0 4 0
56.93, 57, 2 0 4
57.35, 52, 2 4 0
58.18, 49, 0 4 4
72.17, 48, 2 4 4



Diffraction record for Mn6Ni16Ge7. The powder diffraction line list is theoretical, not measured: it uses a DFT-relaxed cell (GGA-PBE, the Materials Project) and Cu Ka.
Peak positions follow from Bragg's law for the DFT cell and can differ from measured ones.

Structural model:
a = 11.216 Å, b = 11.216 Å, c = 11.216 Å
α = 90.00°, β = 90.00°, γ = 90.00°
Space group Fm-3m (No. 225)
Asymmetric unit:
Mn1 0.000 0.000 0.147 [24 per cell]
Ni1 0.118 0.118 0.382 [32 per cell]
Ni2 0.165 0.165 0.165 [32 per cell]
Ge1 0.000 0.000 0.500 [4 per cell]
Ge2 0.000 0.250 0.250 [24 per cell]

Main lines, sorted by position (2θ from 15° to 90°):
2θ/deg, intensity, index
27.55, 32, 2 2 2
39.36, 23, 4 2 2
41.85, 69, 3 3 3
45.76, 100, 4 4 0
47.99, 53, 5 3 1
48.71, 26, 6 0 0
54.25, 43, 6 2 2
66.72, 14, 8 0 0
84.67, 17, 8 4 4
86.30, 25, 9 3 3



Diffraction record for Tm3Ge13Pt4. The powder diffraction line list is theoretical, not measured: it uses a DFT-relaxed cell (GGA-PBE, the Materials Project) and Cu Ka.
Peak positions follow from Bragg's law for the DFT cell and can differ from measured ones.

Structural model:
a = 12.845 Å, b = 12.786 Å, c = 9.171 Å
α = 90.00°, β = 90.51°, γ = 90.00°
Space group Cc (No. 9)
Asymmetric unit:
Tm1 0.000 0.000 0.000 [4 per cell]
Tm2 0.121 0.379 0.250 [4 per cell]
Tm3 0.378 0.122 0.247 [4 per cell]
Ge1 0.079 0.425 0.912 [4 per cell]
Ge2 0.115 0.381 0.636 [4 per cell]
Ge3 0.163 0.166 0.396 [4 per cell]
Ge4 0.165 0.166 0.104 [4 per cell]
Ge5 0.181 0.070 0.748 [4 per cell]
Ge6 0.248 0.257 0.750 [4 per cell]
Ge7 0.302 0.307 0.015 [4 per cell]
Ge8 0.308 0.306 0.475 [4 per cell]
Ge9 0.341 0.486 0.255 [4 per cell]
Ge10 0.414 0.081 0.601 [4 per cell]
Ge11 0.414 0.084 0.903 [4 per cell]
Ge12 0.444 0.328 0.749 [4 per cell]
Ge13 0.494 0.341 0.251 [4 per cell]
Pt1 0.243 0.000 0.499 [4 per cell]
Pt2 0.250 0.499 0.507 [4 per cell]
Pt3 0.497 0.250 0.000 [4 per cell]
Pt4 0.499 0.249 0.502 [4 per cell]

Main lines, sorted by position (2θ from 15° to 90°):
2θ/deg, intensity, index
19.59, 39, 2 2 0
33.94, 28, 4 0 -2
34.21, 100, 4 0 2
35.51, 46, 2 2 3
35.66, 42, 5 1 0
35.80, 24, 1 5 0
39.30, 32, 0 0 4
39.79, 62, 4 4 0
48.90, 27, 6 2 -2
49.21, 27, 2 6 -2



Diffraction record for LaPO4. The powder diffraction line list is theoretical, not measured: it uses a DFT-relaxed cell (GGA-PBE, the Materials Project) and Cu Ka.
Peak positions follow from Bragg's law for the DFT cell and can differ from measured ones.

Structural model:
a = 7.2653 Å, b = 7.2653 Å, c = 6.5023 Å
α = 90.00°, β = 90.00°, γ = 120.00°
Space group P6_222 (No. 180)
Asymmetric unit:
La1 0.0000 0.5000 0.1667 [3 per cell]
P1 0.0000 0.5000 0.6667 [3 per cell]
O1 0.1363 0.4471 0.8128 [12 per cell]

Main lines, sorted by position (2θ from 15° to 90°):
2θ/deg, intensity, index
19.63, 62, 1 0 1
24.51, 22, 1 1 0
28.37, 100, 2 0 0
30.96, 76, 1 0 2
37.11, 26, 1 1 2
40.38, 37, 2 1 1
45.44, 22, 3 0 1
47.36, 49, 2 1 2
51.88, 26, 3 0 2
70.10, 21, 2 1 4



Diffraction record for LaGaO3. The powder diffraction line list is theoretical, not measured: it uses a DFT-relaxed cell (GGA-PBE, the Materials Project) and Cu Ka.
Peak positions follow from Bragg's law for the DFT cell and can differ from measured ones.

Structural model:
a = 3.913 Å, b = 3.913 Å, c = 3.913 Å
α = 90.00°, β = 90.00°, γ = 90.00°
Space group Pm-3m (No. 221)
Asymmetric unit:
La1 0.000 0.000 0.000 [1 per cell]
Ga1 0.500 0.500 0.500 [1 per cell]
O1 0.000 0.500 0.500 [3 per cell]

Main lines, sorted by position (2θ from 15° to 90°):
2θ/deg, intensity, index
22.72, 7, 1 0 0
32.35, 100, 1 1 0
39.90, 12, 1 1 1
46.41, 32, 2 0 0
52.27, 3, 2 1 0
57.70, 39, 2 1 1
67.72, 19, 2 2 0
77.06, 17, 3 1 0
81.59, 4, 3 1 1
86.06, 6, 2 2 2



Diffraction record for MgCo3C. The powder diffraction line list is theoretical, not measured: it uses a DFT-relaxed cell (GGA-PBE, the Materials Project) and Cu Ka.
Peak positions follow from Bragg's law for the DFT cell and can differ from measured ones.

Structural model:
a = 3.778 Å, b = 3.778 Å, c = 3.778 Å
α = 90.00°, β = 90.00°, γ = 90.00°
Space group Pm-3m (No. 221)
Asymmetric unit:
Mg1 0.000 0.000 0.000 [1 per cell]
Co1 0.000 0.500 0.500 [3 per cell]
C1 0.500 0.500 0.500 [1 per cell]

Main lines, sorted by position (2θ from 15° to 90°):
2θ/deg, intensity, index
23.55, 20, 1 0 0
33.55, 4, 1 1 0
41.40, 100, 1 1 1
48.17, 56, 2 0 0
54.30, 6, 2 1 0
59.98, 2, 2 1 1
70.50, 32, 2 2 0
75.50, 3, 3 0 0
85.19, 32, 3 1 1
89.97, 11, 2 2 2